Starting from a DFT-relaxed cell (PBE, Alexandria), the PXRD pattern of La4Sm2HoMg was simulated for CuKα.

Crystal structure
a = 5.1631 Å, b = 5.1631 Å, c = 10.1308 Å
α = 90.00°, β = 90.00°, γ = 90.00°
Space group P4/mmm (No. 123)
Asymmetric unit:
1 La 0.0000 0.5000 0.2465 x4
2 Sm 0.0000 0.0000 0.0000 x1
3 Sm 0.5000 0.5000 0.5000 x1
4 Ho 0.0000 0.0000 0.5000 x1
5 Mg 0.5000 0.5000 0.0000 x1

Peak list (12 most intense, 2θ = 10–90°, most intense first)
- hkl 1 1 2, 30.17°, rel. 100
- hkl 2 0 0, 34.75°, rel. 34
- hkl 3 1 2, 59.48°, rel. 29
- hkl 2 0 4, 50.48°, rel. 24
- hkl 0 0 4, 35.44°, rel. 16
- hkl 1 1 6, 60.40°, rel. 14
- hkl 2 2 4, 62.74°, rel. 12
- hkl 2 2 0, 49.96°, rel. 12
- hkl 3 1 6, 82.11°, rel. 12
- hkl 3 3 2, 81.31°, rel. 6
- hkl 4 2 0, 83.79°, rel. 6
- hkl 4 0 4, 84.19°, rel. 5


Starting from a DFT-relaxed cell (PBE, Alexandria), the PXRD pattern of La2YHo2Mg5 was simulated for CuKα.

Crystal structure
a = 10.6524 Å, b = 10.6524 Å, c = 5.1010 Å
α = 90.00°, β = 90.00°, γ = 90.00°
Space group P4/mbm (No. 127)
Asymmetric unit:
1 La 0.1754 0.3246 0.0000 x4
2 Y 0.0000 0.0000 0.0000 x2
3 Ho 0.1207 0.6207 0.0000 x4
4 Mg 0.0000 0.5000 0.5000 x2
5 Mg 0.0703 0.8013 0.5000 x8

Peak list (12 most intense, 2θ = 10–90°, most intense first)
- hkl 3 1 1, 31.84°, rel. 100
- hkl 0 0 1, 17.39°, rel. 94
- hkl 0 0 2, 35.14°, rel. 83
- hkl 3 1 0, 26.46°, rel. 41
- hkl 1 1 0, 11.75°, rel. 24
- hkl 4 1 0, 34.72°, rel. 23
- hkl 3 1 2, 44.56°, rel. 20
- hkl 4 0 1, 38.12°, rel. 20
- hkl 7 2 1, 66.47°, rel. 20
- hkl 3 1 3, 61.06°, rel. 18
- hkl 3 2 0, 30.25°, rel. 17
- hkl 4 1 2, 50.27°, rel. 16